Record 1
Calculated X-ray powder pattern of YTh6N8 for Cu Kα X-rays, from a DFT-relaxed cell (PBE, Alexandria).
Peak positions follow from Bragg's law for the DFT cell and can differ from measured ones.

Structure:
Lattice parameters (Å, degrees): 10.230 10.230 10.230 90.00 90.00 90.00
Space group Fm-3m (No. 225)
Asymmetric unit:
Y  0.000  0.000  0.000 [4 per cell]
Th  0.000  0.250  0.250 [24 per cell]
N  0.000  0.000  0.234 [24 per cell]
N  0.250  0.250  0.250 [8 per cell]

Most intense lines, 10° ≤ 2θ ≤ 80°, by angle:
17.34°, I = 20, (2 0 0)
24.61°, I = 18, (2 2 0)
30.26°, I = 100, (2 2 2)
35.09°, I = 70, (4 0 0)
50.46°, I = 49, (4 4 0)
59.98°, I = 47, (6 2 2)


Record 2
Calculated X-ray powder pattern of YTh4N4 for Cu Kα X-rays, from a DFT-relaxed cell (PBE, Alexandria).
Peak positions follow from Bragg's law for the DFT cell and can differ from measured ones.

Structure:
Lattice parameters (Å, degrees): 12.044 3.613 8.963 90.00 120.41 90.00
Space group C2/m (No. 12)
Asymmetric unit:
Y  0.000  0.000  0.000 [2 per cell]
Th  0.103  0.500  0.392 [4 per cell]
Th  0.202  0.000  0.803 [4 per cell]
N  0.101  0.500  0.906 [4 per cell]
N  0.197  0.000  0.288 [4 per cell]

Most intense lines, 10° ≤ 2θ ≤ 80°, by angle:
29.91°, I = 51, (2 0 -3)
30.26°, I = 50, (4 0 -1)
30.34°, I = 100, (1 1 1)
34.90°, I = 86, (3 1 -2)
35.27°, I = 42, (2 0 2)
50.24°, I = 31, (1 1 -4)